Entry 1:
For Li3AlN2, a cell relaxed with PBE gives the simulated PXRD pattern in this record (CuKα).

Top 10 peaks for 2θ from 15° to 90°, by angle:
d/Å  I_rel
3.887  100
2.748  51
2.545  33
2.380  9
2.030  20
1.867  15
1.683  80
1.544  15
1.404  16
1.296  13

Atomic structure:
```
Li3AlN2
1.0
-4.7603 4.7603 4.7603
4.7603 -4.7603 4.7603
4.7603 4.7603 -4.7603
Li Al N
24 8 16
Direct
0.0138 0.5413 0.7765 Li
0.0275 0.7648 0.0413 Li
0.0413 0.0275 0.7648 Li
0.2235 0.9862 0.4587 Li
0.2352 0.9587 0.9725 Li
0.2373 0.7235 0.2648 Li
0.2627 0.5275 0.4862 Li
0.2648 0.2373 0.7235 Li
0.2765 0.7352 0.7627 Li
0.4587 0.2235 0.9862 Li
0.4725 0.5138 0.7373 Li
0.4862 0.2627 0.5275 Li
0.5138 0.7373 0.4725 Li
0.5275 0.4862 0.2627 Li
0.5413 0.7765 0.0138 Li
0.7235 0.2648 0.2373 Li
0.7352 0.7627 0.2765 Li
0.7373 0.4725 0.5138 Li
0.7627 0.2765 0.7352 Li
0.7648 0.0413 0.0275 Li
0.7765 0.0138 0.5413 Li
0.9587 0.9725 0.2352 Li
0.9725 0.2352 0.9587 Li
0.9862 0.4587 0.2235 Li
0.0000 0.2698 0.5000 Al
0.0000 0.7302 0.5000 Al
0.2302 0.2302 0.2302 Al
0.2698 0.5000 0.0000 Al
0.5000 0.0000 0.2698 Al
0.5000 0.0000 0.7302 Al
0.7302 0.5000 0.0000 Al
0.7698 0.7698 0.7698 Al
0.0000 0.0000 0.0000 N
0.0000 0.5000 0.5000 N
0.0339 0.2839 0.7500 N
0.2161 0.2500 0.4661 N
0.2500 0.4661 0.2161 N
0.2500 0.9661 0.7161 N
0.2839 0.7500 0.0339 N
0.4661 0.2161 0.2500 N
0.5000 0.0000 0.5000 N
0.5000 0.5000 0.0000 N
0.5339 0.7839 0.7500 N
0.7161 0.2500 0.9661 N
0.7500 0.0339 0.2839 N
0.7500 0.5339 0.7839 N
0.7839 0.7500 0.5339 N
0.9661 0.7161 0.2500 N
```

---

Entry 2:
For Sr4Li2Ta2Al2N8O, a cell relaxed with PBE gives the simulated PXRD pattern in this record (CuKα).

Top 10 peaks for 2θ from 15° to 90°, by angle:
d/Å  I_rel
4.741  61
4.455  71
3.455  50
3.020  100
2.830  97
2.785  72
2.760  47
2.641  40
2.323  24
2.227  40

Atomic structure:
```
Sr4Li2Ta2Al2N8O
1.0
6.0521 0.0000 0.0000
0.0000 10.0901 0.0000
-5.5042 0.0000 9.4817
Sr Li Ta Al N O
8 4 4 4 16 2
Direct
0.0673 0.2397 0.0694 Sr
0.0673 0.2603 0.5694 Sr
0.2677 0.5654 0.8030 Sr
0.2677 0.9346 0.3030 Sr
0.7323 0.0654 0.6970 Sr
0.7323 0.4346 0.1970 Sr
0.9327 0.7397 0.4306 Sr
0.9327 0.7603 0.9306 Sr
0.3100 0.0065 0.0034 Li
0.3100 0.4935 0.5034 Li
0.6900 0.5065 0.4966 Li
0.6900 0.9935 0.9966 Li
0.2732 0.5975 0.2394 Ta
0.2732 0.9025 0.7394 Ta
0.7268 0.0975 0.2606 Ta
0.7268 0.4025 0.7606 Ta
0.3823 0.2442 0.8997 Al
0.3823 0.2558 0.3997 Al
0.6177 0.7442 0.6003 Al
0.6177 0.7558 0.1003 Al
0.0700 0.1663 0.3333 N
0.0700 0.3337 0.8333 N
0.3070 0.0900 0.7877 N
0.3070 0.4100 0.2877 N
0.3876 0.6342 0.1038 N
0.3876 0.8658 0.6038 N
0.4904 0.6887 0.4149 N
0.4904 0.8113 0.9149 N
0.5096 0.1887 0.0851 N
0.5096 0.3113 0.5851 N
0.6124 0.1342 0.3962 N
0.6124 0.3658 0.8962 N
0.6930 0.5900 0.7123 N
0.6930 0.9100 0.2123 N
0.9300 0.6663 0.1667 N
0.9300 0.8337 0.6667 N
0.0000 0.0000 0.0000 O
0.0000 0.5000 0.5000 O
```

---

Entry 3:
For NaLi3Ti2Al2P6O24, a cell relaxed with PBE gives the simulated PXRD pattern in this record (CuKα).

Top 10 peaks for 2θ from 15° to 90°, by angle:
d/Å  I_rel
4.291  44
3.678  61
3.654  100
3.645  26
3.044  24
2.782  17
2.775  17
2.737  17
2.722  17
2.471  22

Atomic structure:
```
NaLi3Ti2Al2P6O24
1.0
8.5542 0.0000 0.0000
4.2747 7.4217 0.0000
4.2719 2.3943 7.0599
Na Li Ti Al P O
1 3 2 2 6 24
Direct
0.0000 0.0000 0.0000 Na
0.3527 0.1653 0.7478 Li
0.4822 0.5483 0.4887 Li
0.7438 0.3834 0.7394 Li
0.6394 0.6622 0.0774 Ti
0.8588 0.8796 0.4220 Ti
0.1422 0.1668 0.5611 Al
0.3493 0.3762 0.9364 Al
0.0431 0.4807 0.7472 P
0.2494 0.9895 0.2451 P
0.4552 0.7701 0.7481 P
0.5303 0.2728 0.2505 P
0.7478 0.0634 0.7508 P
0.9601 0.5495 0.2572 P
0.0114 0.6527 0.5718 O
0.0604 0.2934 0.7421 O
0.0788 0.9641 0.2506 O
0.1267 0.5092 0.0805 O
0.2008 0.0330 0.4179 O
0.2369 0.4430 0.7540 O
0.2746 0.9488 0.7370 O
0.3033 0.1435 0.0546 O
0.3647 0.2288 0.4328 O
0.4165 0.7947 0.2529 O
0.4403 0.5935 0.7551 O
0.4888 0.7341 0.9262 O
0.5041 0.3191 0.0660 O
0.5530 0.4425 0.2501 O
0.5735 0.2519 0.7547 O
0.6333 0.8024 0.5739 O
0.7110 0.8925 0.9286 O
0.7198 0.1013 0.2547 O
0.7672 0.5755 0.2556 O
0.7831 0.0274 0.5755 O
0.8691 0.5156 0.9249 O
0.9118 0.1016 0.7395 O
0.9404 0.7409 0.2550 O
0.9804 0.3945 0.4449 O
```

---

Entry 4:
For Na2Li3Ti3AlP6O24, a cell relaxed with PBE gives the simulated PXRD pattern in this record (CuKα).

Top 10 peaks for 2θ from 15° to 90°, by angle:
d/Å  I_rel
4.396  19
4.362  23
3.732  100
3.096  17
2.831  17
2.778  41
2.519  18
1.963  13
1.866  16
1.649  15

Atomic structure:
```
Na2Li3Ti3AlP6O24
1.0
4.3622 2.5185 7.2064
-4.3622 2.5185 7.2064
0.0000 -5.0371 7.2064
Na Li Ti Al P O
2 3 3 1 6 24
Direct
0.0000 0.0000 0.0000 Na
0.4916 0.4916 0.4916 Na
0.2551 0.8402 0.6486 Li
0.6486 0.2551 0.8402 Li
0.8402 0.6486 0.2551 Li
0.1382 0.1382 0.1382 Ti
0.3534 0.3534 0.3534 Ti
0.8470 0.8470 0.8470 Ti
0.6465 0.6465 0.6465 Al
0.0347 0.7461 0.4530 P
0.2550 0.5314 0.9543 P
0.4530 0.0347 0.7461 P
0.5314 0.9543 0.2550 P
0.7461 0.4530 0.0347 P
0.9543 0.2550 0.5314 P
0.0133 0.7901 0.6151 O
0.0512 0.9156 0.2713 O
0.0886 0.7205 0.9237 O
0.1245 0.2856 0.5024 O
0.2177 0.5777 0.4323 O
0.2224 0.3633 0.9800 O
0.2713 0.0512 0.9156 O
0.2856 0.5024 0.1245 O
0.3633 0.9800 0.2224 O
0.4264 0.5600 0.7687 O
0.4323 0.2177 0.5777 O
0.4913 0.8659 0.7026 O
0.5024 0.1245 0.2856 O
0.5600 0.7687 0.4264 O
0.5777 0.4323 0.2177 O
0.6151 0.0133 0.7901 O
0.7026 0.4913 0.8659 O
0.7205 0.9237 0.0886 O
0.7687 0.4264 0.5600 O
0.7901 0.6151 0.0133 O
0.8659 0.7026 0.4913 O
0.9156 0.2713 0.0512 O
0.9237 0.0886 0.7205 O
0.9800 0.2224 0.3633 O
```

---

Entry 5:
For Na2LiTi3AlP6O24, a cell relaxed with PBE gives the simulated PXRD pattern in this record (CuKα).

Top 10 peaks for 2θ from 15° to 90°, by angle:
d/Å  I_rel
4.410  21
4.290  32
3.700  100
3.689  17
3.075  23
2.784  51
2.773  17
2.477  16
1.851  11
1.621  8

Atomic structure:
```
Na2LiTi3AlP6O24
1.0
8.5752 0.0000 0.0000
4.2773 7.4338 0.0000
4.2479 2.4608 7.3022
Na Li Ti Al P O
2 1 3 1 6 24
Direct
0.0000 0.0000 0.0000 Na
0.4851 0.4847 0.5136 Na
0.8345 0.6483 0.2595 Li
0.3507 0.3439 0.9423 Ti
0.6337 0.6331 0.0703 Ti
0.8503 0.8497 0.4471 Ti
0.1392 0.1328 0.5762 Al
0.0326 0.7444 0.7630 P
0.2419 0.5178 0.2662 P
0.4499 0.0285 0.7574 P
0.5222 0.9555 0.2659 P
0.7523 0.4455 0.7521 P
0.9606 0.2393 0.2649 P
0.0570 0.9180 0.7426 O
0.0619 0.7015 0.2730 O
0.1284 0.2715 0.0879 O
0.2115 0.3501 0.4361 O
0.2149 0.5680 0.7733 O
0.2709 0.0501 0.7420 O
0.2774 0.4912 0.0886 O
0.3555 0.9870 0.4348 O
0.4135 0.5520 0.2465 O
0.4317 0.2087 0.7722 O
0.4882 0.8555 0.9298 O
0.4970 0.1224 0.0895 O
0.5603 0.7653 0.2488 O
0.5745 0.4239 0.7721 O
0.6263 0.9919 0.5880 O
0.7150 0.4856 0.9253 O
0.7157 0.9204 0.2744 O
0.7802 0.4218 0.2483 O
0.7808 0.6182 0.5787 O
0.8636 0.7072 0.9391 O
0.9246 0.2650 0.7413 O
0.9295 0.0702 0.2753 O
0.9918 0.2063 0.4353 O
0.9948 0.7730 0.5926 O
```

---

Entry 6:
For Na2LiTi3AlP6O24, a cell relaxed with PBE gives the simulated PXRD pattern in this record (CuKα).

Top 10 peaks for 2θ from 15° to 90°, by angle:
d/Å  I_rel
4.409  19
4.291  41
3.702  100
3.685  51
3.072  30
2.780  53
2.768  20
2.480  14
1.960  13
1.851  14

Atomic structure:
```
Na2LiTi3AlP6O24
1.0
8.5646 0.0000 0.0000
4.2567 7.4445 0.0000
4.2385 2.4560 7.2819
Na Li Ti Al P O
2 1 3 1 6 24
Direct
0.0000 0.0000 0.0000 Na
0.4862 0.4857 0.5015 Na
0.8429 0.6402 0.2467 Li
0.1393 0.1350 0.5716 Ti
0.3536 0.3458 0.9319 Ti
0.8494 0.8488 0.4416 Ti
0.6364 0.6350 0.0658 Al
0.0266 0.7383 0.7638 P
0.2512 0.5275 0.2505 P
0.4590 0.0199 0.7602 P
0.5304 0.9497 0.2510 P
0.7454 0.4547 0.7546 P
0.9542 0.2464 0.2501 P
0.0536 0.9133 0.7438 O
0.0671 0.7055 0.2621 O
0.1268 0.2758 0.0784 O
0.2137 0.5671 0.7662 O
0.2145 0.3573 0.4248 O
0.2757 0.0468 0.7418 O
0.2820 0.4925 0.0792 O
0.3613 0.9838 0.4237 O
0.4209 0.5566 0.2352 O
0.4371 0.2075 0.7651 O
0.4933 0.8530 0.9292 O
0.4989 0.1214 0.0802 O
0.5644 0.7618 0.2373 O
0.5734 0.4291 0.7646 O
0.6272 0.9899 0.5822 O
0.7117 0.4907 0.9236 O
0.7203 0.9175 0.2637 O
0.7766 0.4276 0.2384 O
0.7835 0.6187 0.5724 O
0.8617 0.7018 0.9389 O
0.9192 0.2701 0.7403 O
0.9252 0.0748 0.2651 O
0.9891 0.2089 0.4245 O
0.9919 0.7754 0.5882 O
```

---

Entry 7:
For Na2LiAlP2, a cell relaxed with PBE gives the simulated PXRD pattern in this record (CuKα).

Top 10 peaks for 2θ from 15° to 90°, by angle:
d/Å  I_rel
4.851  27
2.901  59
2.670  34
2.624  100
2.210  75
2.051  66
1.990  26
1.616  38
1.450  19
1.213  18

Atomic structure:
```
Na2LiAlP2
1.0
5.8019 -6.8272 0.0000
5.8019 6.8272 0.0000
0.0000 0.0000 5.8014
Na Li Al P
8 4 4 8
Direct
0.0685 0.4315 0.7500 Na
0.1782 0.8218 0.7860 Na
0.3218 0.6782 0.2860 Na
0.4315 0.0685 0.2500 Na
0.5685 0.9315 0.7500 Na
0.6782 0.3218 0.7140 Na
0.8218 0.1782 0.2140 Na
0.9315 0.5685 0.2500 Na
0.1187 0.1187 0.0000 Li
0.3813 0.3813 0.5000 Li
0.6187 0.6187 0.5000 Li
0.8813 0.8813 0.0000 Li
0.1297 0.1297 0.5000 Al
0.3703 0.3703 0.0000 Al
0.6297 0.6297 0.0000 Al
0.8703 0.8703 0.5000 Al
0.1042 0.8958 0.2864 P
0.1486 0.3514 0.2500 P
0.3514 0.1486 0.7500 P
0.3958 0.6042 0.7864 P
0.6042 0.3958 0.2136 P
0.6486 0.8514 0.2500 P
0.8514 0.6486 0.7500 P
0.8958 0.1042 0.7136 P
```

---

Entry 8:
For LiNd2Al, a cell relaxed with PBE gives the simulated PXRD pattern in this record (CuKα).

Top 10 peaks for 2θ from 15° to 90°, by angle:
d/Å  I_rel
3.749  78
2.651  100
2.165  24
1.875  18
1.677  32
1.531  37
1.326  11
1.250  15
1.186  16
1.130  9

Atomic structure:
```
LiNd2Al
1.0
7.4983 0.0000 0.0000
0.0000 7.4983 0.0000
0.0000 0.0000 7.4983
Li Nd Al
4 8 4
Direct
0.0000 0.0000 0.0000 Li
0.0000 0.5000 0.5000 Li
0.5000 0.0000 0.5000 Li
0.5000 0.5000 0.0000 Li
0.2500 0.2500 0.2500 Nd
0.2500 0.2500 0.7500 Nd
0.2500 0.7500 0.2500 Nd
0.2500 0.7500 0.7500 Nd
0.7500 0.2500 0.2500 Nd
0.7500 0.2500 0.7500 Nd
0.7500 0.7500 0.2500 Nd
0.7500 0.7500 0.7500 Nd
0.0000 0.0000 0.5000 Al
0.0000 0.5000 0.0000 Al
0.5000 0.0000 0.0000 Al
0.5000 0.5000 0.5000 Al
```

---

Entry 9:
For Li2NdAl, a cell relaxed with PBE gives the simulated PXRD pattern in this record (CuKα).

Top 10 peaks for 2θ from 15° to 90°, by angle:
d/Å  I_rel
3.965  99
3.434  100
2.428  99
2.071  52
1.983  29
1.717  17
1.576  22
1.536  38
1.402  35
1.145  18

Atomic structure:
```
Li2NdAl
1.0
6.8677 0.0000 0.0000
0.0000 6.8677 0.0000
0.0000 0.0000 6.8677
Li Nd Al
8 4 4
Direct
0.2500 0.2500 0.2500 Li
0.2500 0.2500 0.7500 Li
0.2500 0.7500 0.2500 Li
0.2500 0.7500 0.7500 Li
0.7500 0.2500 0.2500 Li
0.7500 0.2500 0.7500 Li
0.7500 0.7500 0.2500 Li
0.7500 0.7500 0.7500 Li
0.0000 0.0000 0.0000 Nd
0.0000 0.5000 0.5000 Nd
0.5000 0.0000 0.5000 Nd
0.5000 0.5000 0.0000 Nd
0.0000 0.0000 0.5000 Al
0.0000 0.5000 0.0000 Al
0.5000 0.0000 0.0000 Al
0.5000 0.5000 0.5000 Al
```